[1]
Diffraction record for TbFe4B4. The X-ray diffraction stick pattern is simulated, not measured: it uses a crystal structure in Alexandria, relaxed with PBE and Cu Kα (λ = 1.5418 Å).

```
TbFe4B4
1.0
6.9545 0.0000 0.0000
0.0000 6.9545 0.0000
0.0000 0.0000 3.8151
Tb Fe B
2 8 8
Cartesian
1.7386 1.7386 0.9538
5.2159 5.2159 2.8613
0.8197 4.4199 0.5378
0.9427 6.1347 2.4453
2.5346 4.2970 2.4453
2.6575 6.0118 0.5378
4.2970 0.9427 3.2773
4.4199 2.6575 1.3698
6.0118 0.8197 1.3698
6.1347 2.5346 3.2773
0.3490 6.3743 0.5477
0.5802 3.8263 2.4553
2.8971 6.6055 2.4553
3.1282 4.0574 0.5477
3.8263 2.8971 3.2674
4.0574 0.3490 1.3598
6.3743 3.1282 1.3598
6.6055 0.5802 3.2674
```

Main lines, sorted by position (5 to 70 degrees two-theta):
25.62 deg, I = 30
26.65 deg, I = 61
36.55 deg, I = 17
37.30 deg, I = 100
41.04 deg, I = 72
47.71 deg, I = 14
49.55 deg, I = 15
53.21 deg, I = 31
59.96 deg, I = 16
64.69 deg, I = 16

[2]
Diffraction record for HoTh2CrC4. The X-ray diffraction stick pattern is simulated, not measured: it uses a crystal structure in Alexandria, relaxed with PBE and Cu Kα (λ = 1.5418 Å).

```
HoTh2CrC4
1.0
1.7995 -5.9181 0.0000
1.7995 5.9181 0.0000
0.0000 0.0000 12.6500
Ho Th Cr C
2 4 2 8
Cartesian
1.7995 4.6274 9.4875
1.7995 -4.6274 3.1625
1.7995 1.5900 6.8946
1.7995 1.5900 12.0804
1.7995 -1.5900 0.5696
1.7995 -1.5900 5.7554
1.7995 3.8564 3.1625
1.7995 -3.8564 9.4875
0.0000 0.0000 0.0000
0.0000 0.0000 6.3250
1.7995 2.6972 1.7704
1.7995 2.6972 4.5546
1.7995 1.1700 9.4875
1.7995 -1.1700 3.1625
1.7995 -2.6972 8.0953
1.7995 -2.6972 10.8796
```

Main lines, sorted by position (5 to 70 degrees two-theta):
14.00 deg, I = 22
25.94 deg, I = 99
28.22 deg, I = 33
29.54 deg, I = 100
30.20 deg, I = 55
34.47 deg, I = 29
36.66 deg, I = 77
44.44 deg, I = 39
49.75 deg, I = 26
57.85 deg, I = 21

[3]
Diffraction record for Na5Er4Si4O16F. The X-ray diffraction stick pattern is simulated, not measured: it uses a crystal structure in Alexandria, relaxed with PBE and Cu Kα (λ = 1.5418 Å).

```
Na5Er4Si4O16F
1.0
-5.7945 5.7945 2.7120
5.7945 -5.7945 2.7120
5.7945 5.7945 -2.7120
Na Er Si O F
5 4 4 16 1
Cartesian
0.0000 0.0000 0.0000
4.7571 1.2170 0.0514
4.5775 -1.0374 2.6606
1.2170 6.8320 -0.0514
1.0374 4.5775 2.7634
7.1268 3.6875 0.1299
3.6875 4.4623 -0.1299
2.1070 1.3323 2.5820
-1.3323 2.1070 2.8419
8.7254 1.2098 -0.0647
1.2098 2.8637 0.0647
4.5847 2.9308 2.7767
-2.9308 4.5847 2.6472
5.4053 3.4104 -1.3020
7.0910 1.2840 0.0853
3.4224 -3.0406 2.3202
2.1470 -0.5703 1.2666
2.7539 2.3721 0.3918
3.6475 6.3649 -1.4454
1.2840 4.4981 -0.0853
0.3893 2.3841 1.4100
5.2242 3.6475 1.4454
4.5106 1.2964 2.6267
2.3721 8.8352 -0.3918
2.3841 -0.3893 4.0140
3.4104 6.1838 1.3020
3.0406 3.4224 3.1038
-1.2964 4.5106 2.7972
0.5703 2.1470 4.1574
0.0000 0.0000 2.7120
```

Main lines, sorted by position (5 to 70 degrees two-theta):
10.80 deg, I = 58
18.06 deg, I = 100
23.75 deg, I = 46
24.29 deg, I = 50
28.36 deg, I = 62
32.38 deg, I = 68
33.03 deg, I = 42
35.99 deg, I = 57
42.41 deg, I = 38
48.59 deg, I = 41

Which formula does entry 2 have? HoTh2CrC4